Entry 1:
TbPmThZn: calculated powder diffractogram (Cu Kα (λ = 1.5418 Å)), based on a GGA-PBE-relaxed structure.

Atomic structure:
Cell lengths 3.601, 3.601, 8.651 Å; angles 90.00, 90.00, 90.00 degrees
Sites, in units of the cell vectors:
Tb 0.000 0.000 0.000
Pm 0.000 0.000 0.571
Th 0.500 0.500 0.282
Zn 0.500 0.500 0.794

Largest 10 diffraction maxima, by angle, 2θ from 5° to 70°:
- 2θ 26.8, intensity 24
- 2θ 31.0, intensity 10
- 2θ 32.4, intensity 100
- 2θ 35.3, intensity 44
- 2θ 41.8, intensity 9
- 2θ 47.6, intensity 13
- 2θ 50.7, intensity 16
- 2θ 55.8, intensity 16
- 2θ 59.3, intensity 10
- 2θ 61.4, intensity 32

Entry 2:
Sr5AgAu: calculated powder diffractogram (Cu Kα (λ = 1.5418 Å)), based on a GGA-PBE-relaxed structure.

Atomic structure:
Cell lengths 8.818, 4.535, 14.650 Å; angles 90.00, 92.66, 90.00 degrees
Sites, in units of the cell vectors:
Sr 0.060 0.250 0.172
Sr 0.144 0.750 0.572
Sr 0.320 0.750 0.013
Sr 0.338 0.250 0.777
Sr 0.367 0.250 0.378
Sr 0.633 0.750 0.622
Sr 0.662 0.750 0.223
Sr 0.680 0.250 0.987
Sr 0.856 0.250 0.428
Sr 0.940 0.750 0.828
Ag 0.075 0.750 0.340
Ag 0.925 0.250 0.660
Au 0.431 0.250 0.153
Au 0.569 0.750 0.847

Largest 10 diffraction maxima, by angle, 2θ from 5° to 70°:
- 2θ 12.0, intensity 100
- 2θ 25.0, intensity 35
- 2θ 26.6, intensity 45
- 2θ 28.2, intensity 57
- 2θ 29.1, intensity 78
- 2θ 30.8, intensity 31
- 2θ 31.2, intensity 59
- 2θ 31.4, intensity 51
- 2θ 37.0, intensity 41
- 2θ 39.7, intensity 48

Entry 3:
Li2CaRu: calculated powder diffractogram (Cu Kα (λ = 1.5418 Å)), based on a GGA-PBE-relaxed structure.

Atomic structure:
Cell lengths 3.116, 3.506, 7.282 Å; angles 90.00, 90.00, 90.00 degrees
Sites, in units of the cell vectors:
Li 0.000 0.000 0.000
Li 0.500 0.500 0.204
Ca 0.500 0.500 0.618
Ru 0.000 0.000 0.372

Largest 10 diffraction maxima, by angle, 2θ from 5° to 70°:
- 2θ 12.2, intensity 100
- 2θ 28.3, intensity 25
- 2θ 31.2, intensity 19
- 2θ 35.5, intensity 27
- 2θ 38.0, intensity 22
- 2θ 38.7, intensity 24
- 2θ 40.7, intensity 20
- 2θ 45.4, intensity 9
- 2θ 54.6, intensity 8
- 2θ 65.0, intensity 8

Entry 4:
PuTlAu2O8: calculated powder diffractogram (Cu Kα (λ = 1.5418 Å)), based on a GGA-PBE-relaxed structure.

Atomic structure:
Cell lengths 6.114, 6.114, 6.114 Å; angles 112.38, 112.38, 103.79 degrees
Sites, in units of the cell vectors:
Pu 0.000 0.000 0.000
Tl 0.250 0.750 0.500
Au 0.500 0.500 0.000
Au 0.750 0.250 0.500
O 0.286 0.114 0.828
O 0.286 0.458 0.172
O 0.312 0.025 0.288
O 0.542 0.714 0.828
O 0.737 0.025 0.712
O 0.886 0.714 0.172
O 0.975 0.263 0.288
O 0.975 0.688 0.712

Largest 10 diffraction maxima, by angle, 2θ from 5° to 70°:
- 2θ 26.2, intensity 83
- 2θ 30.1, intensity 100
- 2θ 37.4, intensity 25
- 2θ 48.2, intensity 9
- 2θ 48.7, intensity 64
- 2θ 53.9, intensity 13
- 2θ 55.7, intensity 21
- 2θ 60.9, intensity 15
- 2θ 62.6, intensity 13
- 2θ 63.0, intensity 17

Entry 5:
MnCr2C: calculated powder diffractogram (Cu Kα (λ = 1.5418 Å)), based on a GGA-PBE-relaxed structure.

Atomic structure:
Cell lengths 2.711, 8.487, 6.651 Å; angles 90.00, 90.00, 90.00 degrees
Sites, in units of the cell vectors:
Mn 0.000 0.079 0.250
Mn 0.000 0.921 0.750
Mn 0.500 0.421 0.750
Mn 0.500 0.579 0.250
Cr 0.000 0.361 0.066
Cr 0.000 0.361 0.434
Cr 0.000 0.639 0.566
Cr 0.000 0.639 0.934
Cr 0.500 0.139 0.566
Cr 0.500 0.139 0.934
Cr 0.500 0.861 0.066
Cr 0.500 0.861 0.434
C 0.000 0.250 0.750
C 0.000 0.750 0.250
C 0.500 0.250 0.250
C 0.500 0.750 0.750

Largest 10 diffraction maxima, by angle, 2θ from 5° to 70°:
- 2θ 37.4, intensity 44
- 2θ 42.6, intensity 38
- 2θ 44.4, intensity 97
- 2θ 44.8, intensity 22
- 2θ 46.2, intensity 100
- 2θ 46.4, intensity 43
- 2θ 48.5, intensity 60
- 2θ 54.4, intensity 18
- 2θ 54.6, intensity 19
- 2θ 69.3, intensity 18

Entry 6:
MoPOsN: calculated powder diffractogram (Cu Kα (λ = 1.5418 Å)), based on a GGA-PBE-relaxed structure.

Atomic structure:
Cell lengths 3.427, 3.427, 5.813 Å; angles 90.00, 90.00, 120.00 degrees
Sites, in units of the cell vectors:
Mo 0.000 0.000 0.000
P 0.000 0.000 0.441
Os 0.333 0.667 0.661
N 0.333 0.667 0.012

Largest 10 diffraction maxima, by angle, 2θ from 5° to 70°:
- 2θ 15.2, intensity 54
- 2θ 30.1, intensity 48
- 2θ 30.8, intensity 12
- 2θ 33.9, intensity 100
- 2θ 43.6, intensity 67
- 2θ 46.9, intensity 12
- 2θ 53.5, intensity 32
- 2θ 56.0, intensity 12
- 2θ 56.7, intensity 16
- 2θ 64.9, intensity 16

Entry 7:
Mn2Cu10Sb4S13: calculated powder diffractogram (Cu Kα (λ = 1.5418 Å)), based on a GGA-PBE-relaxed structure.

Atomic structure:
Cell lengths 9.050, 9.050, 9.050 Å; angles 110.24, 110.24, 107.94 degrees
Sites, in units of the cell vectors:
Mn 0.225 0.225 0.000
Mn 0.775 0.775 0.000
Cu 0.000 0.222 0.222
Cu 0.000 0.778 0.778
Cu 0.222 0.000 0.222
Cu 0.246 0.500 0.746
Cu 0.250 0.750 0.500
Cu 0.500 0.246 0.746
Cu 0.500 0.754 0.254
Cu 0.750 0.250 0.500
Cu 0.754 0.500 0.254
Cu 0.778 0.000 0.778
Sb 0.012 0.012 0.546
Sb 0.466 0.466 0.454
Sb 0.534 0.988 0.000
Sb 0.988 0.534 0.000
S 0.000 0.000 0.000
S 0.003 0.481 0.252
S 0.229 0.751 0.748
S 0.249 0.491 0.000
S 0.249 0.997 0.478
S 0.481 0.003 0.252
S 0.491 0.249 0.000
S 0.509 0.509 0.759
S 0.519 0.771 0.522
S 0.751 0.229 0.748
S 0.751 0.751 0.241
S 0.771 0.519 0.522
S 0.997 0.249 0.478

Largest 10 diffraction maxima, by angle, 2θ from 5° to 70°:
- 2θ 24.0, intensity 7
- 2θ 29.6, intensity 100
- 2θ 33.7, intensity 9
- 2θ 34.7, intensity 14
- 2θ 36.8, intensity 7
- 2θ 49.1, intensity 35
- 2θ 49.8, intensity 15
- 2θ 54.6, intensity 6
- 2θ 57.7, intensity 13
- 2θ 59.1, intensity 18

Entry 8:
Rb3Cu8S6: calculated powder diffractogram (Cu Kα (λ = 1.5418 Å)), based on a GGA-PBE-relaxed structure.

Atomic structure:
Cell lengths 9.192, 9.192, 10.091 Å; angles 105.81, 105.81, 24.24 degrees
Sites, in units of the cell vectors:
Rb 0.000 0.000 0.000
Rb 0.191 0.191 0.301
Rb 0.809 0.809 0.699
Cu 0.019 0.019 0.642
Cu 0.203 0.203 0.940
Cu 0.396 0.396 0.215
Cu 0.412 0.412 0.474
Cu 0.588 0.588 0.526
Cu 0.604 0.604 0.785
Cu 0.797 0.797 0.060
Cu 0.981 0.981 0.358
S 0.150 0.150 0.642
S 0.341 0.341 0.986
S 0.466 0.466 0.705
S 0.534 0.534 0.295
S 0.659 0.659 0.014
S 0.850 0.850 0.358

Largest 10 diffraction maxima, by angle, 2θ from 5° to 70°:
- 2θ 11.7, intensity 93
- 2θ 24.8, intensity 33
- 2θ 29.6, intensity 34
- 2θ 31.0, intensity 47
- 2θ 34.9, intensity 100
- 2θ 37.8, intensity 72
- 2θ 47.1, intensity 40
- 2θ 47.8, intensity 33
- 2θ 51.1, intensity 37
- 2θ 51.8, intensity 27

Entry 9:
Ti6CoHg3: calculated powder diffractogram (Cu Kα (λ = 1.5418 Å)), based on a GGA-PBE-relaxed structure.

Atomic structure:
Cell lengths 5.916, 5.916, 6.913 Å; angles 105.73, 105.73, 59.43 degrees
Sites, in units of the cell vectors:
Ti 0.126 0.643 0.625
Ti 0.307 0.307 0.200
Ti 0.357 0.874 0.375
Ti 0.643 0.126 0.625
Ti 0.693 0.693 0.800
Ti 0.874 0.357 0.375
Co 0.500 0.500 0.500
Hg 0.000 0.000 0.000
Hg 0.194 0.194 0.763
Hg 0.806 0.806 0.237

Largest 10 diffraction maxima, by angle, 2θ from 5° to 70°:
- 2θ 17.6, intensity 42
- 2θ 24.0, intensity 100
- 2θ 30.5, intensity 31
- 2θ 30.6, intensity 33
- 2θ 35.0, intensity 42
- 2θ 35.7, intensity 24
- 2θ 37.5, intensity 43
- 2θ 40.4, intensity 28
- 2θ 41.6, intensity 44
- 2θ 42.3, intensity 27

Entry 10:
La6Tb2Tm: calculated powder diffractogram (Cu Kα (λ = 1.5418 Å)), based on a GGA-PBE-relaxed structure.

Atomic structure:
Cell lengths 10.136, 10.136, 3.697 Å; angles 90.00, 90.00, 124.06 degrees
Sites, in units of the cell vectors:
La 0.006 0.337 0.000
La 0.180 0.180 0.500
La 0.337 0.006 0.000
La 0.663 0.994 0.000
La 0.820 0.820 0.500
La 0.994 0.663 0.000
Tb 0.329 0.671 0.500
Tb 0.671 0.329 0.500
Tm 0.500 0.500 0.000

Largest 10 diffraction maxima, by angle, 2θ from 5° to 70°:
- 2θ 28.6, intensity 36
- 2θ 29.9, intensity 100
- 2θ 32.3, intensity 31
- 2θ 36.8, intensity 20
- 2θ 37.9, intensity 18
- 2θ 45.6, intensity 9
- 2θ 53.2, intensity 13
- 2θ 56.6, intensity 16
- 2θ 58.0, intensity 10
- 2θ 58.8, intensity 11

Entry 11:
Rb2Ce3PbS8: calculated powder diffractogram (Cu Kα (λ = 1.5418 Å)), based on a GGA-PBE-relaxed structure.

Atomic structure:
Cell lengths 9.246, 9.246, 9.246 Å; angles 53.55, 53.55, 53.55 degrees
Sites, in units of the cell vectors:
Rb 0.000 0.000 0.000
Rb 0.365 0.365 0.365
Ce 0.365 0.365 0.872
Ce 0.365 0.872 0.365
Ce 0.872 0.365 0.365
Pb 0.760 0.760 0.760
S 0.109 0.109 0.557
S 0.109 0.557 0.109
S 0.139 0.139 0.139
S 0.153 0.629 0.629
S 0.557 0.109 0.109
S 0.591 0.591 0.591
S 0.629 0.153 0.629
S 0.629 0.629 0.153

Largest 10 diffraction maxima, by angle, 2θ from 5° to 70°:
- 2θ 11.2, intensity 64
- 2θ 19.4, intensity 65
- 2θ 22.5, intensity 84
- 2θ 24.2, intensity 100
- 2θ 25.0, intensity 75
- 2θ 29.0, intensity 44
- 2θ 36.4, intensity 45
- 2θ 38.1, intensity 48
- 2θ 39.4, intensity 60
- 2θ 43.5, intensity 70

Entry 12:
Tl7Bi2: calculated powder diffractogram (Cu Kα (λ = 1.5418 Å)), based on a GGA-PBE-relaxed structure.

Atomic structure:
Cell lengths 6.135, 6.135, 8.759 Å; angles 90.00, 90.00, 120.00 degrees
Sites, in units of the cell vectors:
Tl 0.000 0.000 0.000
Tl 0.000 0.336 0.673
Tl 0.000 0.664 0.327
Tl 0.336 0.000 0.673
Tl 0.336 0.336 0.327
Tl 0.664 0.000 0.327
Tl 0.664 0.664 0.673
Bi 0.333 0.667 0.000
Bi 0.667 0.333 0.000

Largest 10 diffraction maxima, by angle, 2θ from 5° to 70°:
- 2θ 30.6, intensity 34
- 2θ 30.9, intensity 100
- 2θ 35.7, intensity 68
- 2θ 51.3, intensity 25
- 2θ 51.6, intensity 24
- 2θ 60.9, intensity 15
- 2θ 61.2, intensity 29
- 2θ 61.4, intensity 15
- 2θ 63.8, intensity 4
- 2θ 64.4, intensity 13